This entry pairs a crystal structure of KOsCl2F6 with its simulated powder diffraction line list. Radiation: Cu Ka. Structure: a structure optimized by DFT (GGA-PBE).

Most intense lines, 2θ from 15° to 90°, most intense first:
hkl	2θ/deg	I_rel
1 1 0	17.52	100
1 1 2	27.44	70
0 2 0	20.95	58
2 0 2	35.45	24
2 1 3	44.34	22
1 4 1	46.52	19
3 1 2	49.56	14
2 0 0	28.29	13

Structure:
a b c (Å): 6.3083 8.4618 8.4972
angles (deg): 90.00 90.00 90.00
Fractional coordinates of all 20 atoms:
K 0.2500 0.2500 0.1264
K 0.7500 0.7500 0.8736
Os 0.2500 0.7500 0.2612
Os 0.7500 0.2500 0.7388
Cl 0.2500 0.6319 0.7426
Cl 0.2500 0.8681 0.7426
Cl 0.7500 0.1319 0.2574
Cl 0.7500 0.3681 0.2574
F 0.0328 0.7500 0.4150
F 0.0337 0.7500 0.1000
F 0.2500 0.5232 0.2583
F 0.2500 0.9768 0.2583
F 0.4663 0.7500 0.1000
F 0.4672 0.7500 0.4150
F 0.5328 0.2500 0.5850
F 0.5337 0.2500 0.9000
F 0.7500 0.0232 0.7417
F 0.7500 0.4768 0.7417
F 0.9663 0.2500 0.9000
F 0.9672 0.2500 0.5850